NpU2Se6: theoretical X-ray powder pattern (λ = 1.5418 Å (Cu Kα)), based on a structure optimized by DFT (PBE).
Intensities are scaled so that the largest is 100.

Atomic structure:
Unit cell a=7.6885 b=7.6885 c=4.1951 alpha=90.00 beta=90.00 gamma=120.00
Space group P-3 (No. 147)
Inequivalent atoms, fractional coordinates:
Np: 0.0000 0.0000 0.0000 x1
U: 0.3333 0.6667 0.7581 x2
Se: 0.0810 0.6987 0.2560 x6

Principal peaks in the range 5° ≤ 2θ ≤ 70°, in order of rising 2θ:
- (1 1 0), 23.14°, I = 80.7
- (1 0 1), 25.09°, I = 67.0
- (1 1 1), 31.57°, I = 57.8
- (0 2 1), 34.39°, I = 100.0
- (3 0 0), 40.65°, I = 67.4
- (3 -1 1), 41.86°, I = 77.4
- (1 0 2), 45.33°, I = 28.2
- (3 -1 2), 57.17°, I = 24.1
- (1 4 0), 64.09°, I = 22.5
- (3 2 1), 64.97°, I = 36.3

***

NpU4Se8: theoretical X-ray powder pattern (λ = 1.5418 Å (Cu Kα)), based on a structure optimized by DFT (PBE).
Intensities are scaled so that the largest is 100.

Atomic structure:
Unit cell a=11.8981 b=11.8981 c=11.8981 alpha=90.00 beta=90.00 gamma=90.00
Space group F-43m (No. 216)
Inequivalent atoms, fractional coordinates:
Np: 0.0000 0.0000 0.0000 x4
U: 0.1201 0.1201 0.6201 x16
Se: 0.1184 0.1184 0.3816 x16
Se: 0.1361 0.1361 0.8639 x16

Principal peaks in the range 5° ≤ 2θ ≤ 70°, in order of rising 2θ:
- (1 1 1), 12.89°, I = 52.8
- (2 0 0), 14.89°, I = 15.4
- (3 1 1), 24.82°, I = 100.0
- (4 0 0), 30.04°, I = 69.7
- (5 1 1), 39.35°, I = 55.9
- (4 4 0), 43.00°, I = 94.7
- (5 3 3), 50.29°, I = 15.4
- (4 4 4), 53.35°, I = 17.4
- (5 5 3), 59.69°, I = 25.4
- (5 5 5), 68.27°, I = 17.0

***

NpU2Se5: theoretical X-ray powder pattern (λ = 1.5418 Å (Cu Kα)), based on a structure optimized by DFT (PBE).
Intensities are scaled so that the largest is 100.

Atomic structure:
Unit cell a=7.3802 b=7.3802 c=13.3445 alpha=90.00 beta=90.00 gamma=90.00
Space group I4/mcm (No. 140)
Inequivalent atoms, fractional coordinates:
Np: 0.0000 0.0000 0.2500 x4
U: 0.1174 0.3826 0.0000 x8
Se: 0.0000 0.0000 0.0000 x4
Se: 0.1707 0.3293 0.3518 x16

Principal peaks in the range 5° ≤ 2θ ≤ 70°, in order of rising 2θ:
- (1 1 2), 21.62°, I = 77.0
- (0 0 4), 26.72°, I = 20.1
- (2 1 3), 33.82°, I = 100.0
- (2 0 4), 36.30°, I = 37.2
- (3 1 0), 38.58°, I = 56.0
- (2 1 5), 43.61°, I = 18.3
- (1 1 6), 44.27°, I = 18.2
- (3 2 1), 44.80°, I = 23.6
- (3 1 4), 47.55°, I = 21.3
- (4 0 2), 51.38°, I = 18.1

***

NpU3Se4: theoretical X-ray powder pattern (λ = 1.5418 Å (Cu Kα)), based on a structure optimized by DFT (PBE).
Intensities are scaled so that the largest is 100.

Atomic structure:
Unit cell a=5.7510 b=5.7510 c=5.7510 alpha=90.00 beta=90.00 gamma=90.00
Space group Pm-3m (No. 221)
Inequivalent atoms, fractional coordinates:
Np: 0.0000 0.0000 0.0000 x1
U: 0.0000 0.5000 0.5000 x3
Se: 0.0000 0.0000 0.5000 x3
Se: 0.5000 0.5000 0.5000 x1

Principal peaks in the range 5° ≤ 2θ ≤ 70°, in order of rising 2θ:
- (1 1 1), 26.85°, I = 43.7
- (2 0 0), 31.10°, I = 100.0
- (2 2 0), 44.56°, I = 75.4
- (3 1 1), 52.79°, I = 22.5
- (2 2 2), 55.34°, I = 26.8
- (4 0 0), 64.85°, I = 12.6

***

Np3USe4: theoretical X-ray powder pattern (λ = 1.5418 Å (Cu Kα)), based on a structure optimized by DFT (PBE).
Intensities are scaled so that the largest is 100.

Atomic structure:
Unit cell a=5.7894 b=5.7894 c=5.7894 alpha=90.00 beta=90.00 gamma=90.00
Space group Pm-3m (No. 221)
Inequivalent atoms, fractional coordinates:
Np: 0.0000 0.0000 0.5000 x3
U: 0.5000 0.5000 0.5000 x1
Se: 0.0000 0.0000 0.0000 x1
Se: 0.0000 0.5000 0.5000 x3

Principal peaks in the range 5° ≤ 2θ ≤ 70°, in order of rising 2θ:
- (1 1 1), 26.67°, I = 44.3
- (2 0 0), 30.89°, I = 100.0
- (2 2 0), 44.25°, I = 75.6
- (3 1 1), 52.42°, I = 22.8
- (2 2 2), 54.94°, I = 26.9
- (4 0 0), 64.37°, I = 12.6

***

Np3USe4: theoretical X-ray powder pattern (λ = 1.5418 Å (Cu Kα)), based on a structure optimized by DFT (PBE).
Intensities are scaled so that the largest is 100.

Atomic structure:
Unit cell a=8.2599 b=11.5596 c=4.0475 alpha=90.00 beta=90.00 gamma=90.00
Space group Cmmm (No. 65)
Inequivalent atoms, fractional coordinates:
Np: 0.0000 0.0000 0.0000 x2
Np: 0.2500 0.2500 0.5000 x4
U: 0.0000 0.5000 0.0000 x2
Se: 0.0000 0.2499 0.0000 x4
Se: 0.2490 0.0000 0.5000 x4

Principal peaks in the range 5° ≤ 2θ ≤ 70°, in order of rising 2θ:
- (2 2 0), 26.53°, I = 22.5
- (0 2 1), 26.89°, I = 21.8
- (2 0 1), 30.94°, I = 100.0
- (4 0 0), 43.84°, I = 13.0
- (2 4 1), 44.32°, I = 50.4
- (0 0 2), 44.78°, I = 12.2
- (4 2 1), 52.19°, I = 7.7
- (4 4 0), 54.63°, I = 13.7
- (0 4 2), 55.43°, I = 13.2
- (4 0 2), 64.47°, I = 12.6

***

Np2USe3: theoretical X-ray powder pattern (λ = 1.5418 Å (Cu Kα)), based on a structure optimized by DFT (PBE).
Intensities are scaled so that the largest is 100.

Atomic structure:
Unit cell a=4.0393 b=5.7767 c=12.4148 alpha=90.00 beta=90.00 gamma=90.00
Space group Immm (No. 71)
Inequivalent atoms, fractional coordinates:
Np: 0.0000 0.0000 0.1666 x4
U: 0.0000 0.0000 0.5000 x2
Se: 0.0000 0.5000 0.1673 x4
Se: 0.0000 0.5000 0.5000 x2

Principal peaks in the range 5° ≤ 2θ ≤ 70°, in order of rising 2θ:
- (0 1 3), 26.50°, I = 22.6
- (1 1 0), 26.93°, I = 21.7
- (1 0 3), 30.94°, I = 100.0
- (0 0 6), 43.75°, I = 13.1
- (1 2 3), 44.34°, I = 50.3
- (2 0 0), 44.88°, I = 12.2
- (1 1 6), 52.13°, I = 7.7
- (0 2 6), 54.56°, I = 13.8
- (2 2 0), 55.52°, I = 13.1
- (2 0 6), 64.49°, I = 12.6

***

NpUSe: theoretical X-ray powder pattern (λ = 1.5418 Å (Cu Kα)), based on a structure optimized by DFT (PBE).
Intensities are scaled so that the largest is 100.

Atomic structure:
Unit cell a=6.3185 b=8.0961 c=5.1562 alpha=90.00 beta=90.00 gamma=90.00
Space group Cmme (No. 67)
Inequivalent atoms, fractional coordinates:
Np: 0.0000 0.2500 0.2281 x4
U: 0.0000 0.0000 0.5000 x4
Se: 0.2500 0.0000 0.0000 x4

Principal peaks in the range 5° ≤ 2θ ≤ 70°, in order of rising 2θ:
- (1 1 1), 24.85°, I = 100.0
- (0 2 1), 28.02°, I = 22.5
- (2 0 0), 28.25°, I = 49.6
- (2 0 1), 33.26°, I = 35.0
- (2 2 1), 40.21°, I = 63.3
- (1 3 1), 40.33°, I = 28.8
- (0 2 2), 41.53°, I = 70.9
- (0 4 0), 44.78°, I = 29.7
- (2 2 2), 50.99°, I = 40.5
- (4 0 0), 58.41°, I = 24.1

***

Zr2NpSe6: theoretical X-ray powder pattern (λ = 1.5418 Å (Cu Kα)), based on a structure optimized by DFT (PBE).
Intensities are scaled so that the largest is 100.

Atomic structure:
Unit cell a=13.7794 b=5.0184 c=9.2265 alpha=90.00 beta=127.07 gamma=90.00
Space group C2/m (No. 12)
Inequivalent atoms, fractional coordinates:
Zr: 0.1769 0.0000 0.1130 x4
Np: 0.0000 0.0000 0.5000 x2
Se: 0.0389 0.0000 0.2183 x4
Se: 0.1299 0.5000 0.5444 x4
Se: 0.2501 0.0000 0.8767 x4

Principal peaks in the range 5° ≤ 2θ ≤ 70°, in order of rising 2θ:
- (2 0 -1), 13.06°, I = 66.1
- (2 0 -2), 19.31°, I = 43.6
- (1 1 0), 19.44°, I = 100.0
- (2 0 1), 25.40°, I = 59.6
- (3 1 -2), 28.02°, I = 30.5
- (4 0 -3), 30.94°, I = 31.9
- (0 2 0), 35.79°, I = 67.5
- (0 0 3), 36.62°, I = 34.6
- (3 1 1), 37.88°, I = 68.8
- (5 1 -3), 39.18°, I = 92.1

***

ZrNp2Se5: theoretical X-ray powder pattern (λ = 1.5418 Å (Cu Kα)), based on a structure optimized by DFT (PBE).
Intensities are scaled so that the largest is 100.

Atomic structure:
Unit cell a=11.9159 b=8.2362 c=7.6038 alpha=90.00 beta=90.00 gamma=90.00
Space group Pnma (No. 62)
Inequivalent atoms, fractional coordinates:
Zr: 0.0082 0.2500 0.0801 x4
Np: 0.1770 0.5018 0.5394 x8
Se: 0.0025 0.2500 0.4538 x4
Se: 0.0867 0.5406 0.1726 x8
Se: 0.1875 0.2500 0.8411 x4
Se: 0.2122 0.7500 0.8208 x4

Principal peaks in the range 5° ≤ 2θ ≤ 70°, in order of rising 2θ:
- (0 0 2), 23.40°, I = 30.6
- (3 0 1), 25.30°, I = 58.8
- (4 0 1), 32.27°, I = 29.7
- (1 2 2), 32.93°, I = 62.2
- (3 2 1), 33.49°, I = 100.0
- (2 2 2), 35.49°, I = 77.2
- (4 2 0), 37.25°, I = 26.9
- (0 4 0), 43.98°, I = 37.3
- (5 2 1), 45.57°, I = 38.9
- (2 2 5), 67.52°, I = 26.8

***

Np2Ta3Si4: theoretical X-ray powder pattern (λ = 1.5418 Å (Cu Kα)), based on a structure optimized by DFT (PBE).
Intensities are scaled so that the largest is 100.

Atomic structure:
Unit cell a=7.0141 b=7.0197 c=6.8647 alpha=90.00 beta=109.51 gamma=90.00
Space group P2_1/c (No. 14)
Inequivalent atoms, fractional coordinates:
Np: 0.1807 0.1630 0.0607 x4
Ta: 0.2525 0.6758 0.2488 x4
Ta: 0.5000 0.0000 0.5000 x2
Si: 0.0837 0.5375 0.8682 x4
Si: 0.4903 0.1282 0.8691 x4

Principal peaks in the range 5° ≤ 2θ ≤ 70°, in order of rising 2θ:
- (0 2 1), 28.94°, I = 47.8
- (1 1 -2), 29.28°, I = 54.7
- (2 1 0), 29.91°, I = 50.0
- (1 2 1), 33.97°, I = 44.0
- (2 1 -2), 34.13°, I = 37.9
- (2 2 -1), 36.54°, I = 100.0
- (1 1 2), 37.06°, I = 98.2
- (2 2 0), 37.37°, I = 52.4
- (0 3 1), 41.02°, I = 58.7
- (1 1 -3), 41.51°, I = 56.8

***

Np3TaSi6: theoretical X-ray powder pattern (λ = 1.5418 Å (Cu Kα)), based on a structure optimized by DFT (PBE).
Intensities are scaled so that the largest is 100.

Atomic structure:
Unit cell a=10.7795 b=10.7795 c=10.9715 alpha=90.00 beta=90.00 gamma=120.00
Space group R-3c (No. 167, hexagonal axes)
Inequivalent atoms, fractional coordinates:
Np: 0.0000 0.4384 0.2500 x18
Ta: 0.0000 0.0000 0.0000 x6
Si: 0.0701 0.2116 0.3399 x36

Principal peaks in the range 5° ≤ 2θ ≤ 70°, in order of rising 2θ:
- (0 1 2), 18.76°, I = 69.1
- (2 0 2), 25.05°, I = 31.6
- (2 1 1), 26.54°, I = 33.8
- (1 1 3), 29.52°, I = 51.4
- (1 2 2), 30.11°, I = 37.7
- (2 2 0), 33.25°, I = 40.0
- (1 3 1), 35.63°, I = 100.0
- (0 2 4), 38.05°, I = 79.7
- (3 1 2), 38.45°, I = 76.0
- (4 1 3), 51.35°, I = 35.6

***

What is the formula in the twelfth record?
Np3TaSi6

***

Which formula does entry 6 have?
Np3USe4

***

Please write out number 2 again, unchanged.
NpU4Se8: theoretical X-ray powder pattern (λ = 1.5418 Å (Cu Kα)), based on a structure optimized by DFT (PBE).
Intensities are scaled so that the largest is 100.

Atomic structure:
Unit cell a=11.8981 b=11.8981 c=11.8981 alpha=90.00 beta=90.00 gamma=90.00
Space group F-43m (No. 216)
Inequivalent atoms, fractional coordinates:
Np: 0.0000 0.0000 0.0000 x4
U: 0.1201 0.1201 0.6201 x16
Se: 0.1184 0.1184 0.3816 x16
Se: 0.1361 0.1361 0.8639 x16

Principal peaks in the range 5° ≤ 2θ ≤ 70°, in order of rising 2θ:
- (1 1 1), 12.89°, I = 52.8
- (2 0 0), 14.89°, I = 15.4
- (3 1 1), 24.82°, I = 100.0
- (4 0 0), 30.04°, I = 69.7
- (5 1 1), 39.35°, I = 55.9
- (4 4 0), 43.00°, I = 94.7
- (5 3 3), 50.29°, I = 15.4
- (4 4 4), 53.35°, I = 17.4
- (5 5 3), 59.69°, I = 25.4
- (5 5 5), 68.27°, I = 17.0